No. 1
Pm4Er3In2: theoretical powder X-ray diffraction pattern (copper Kα), based on the GGA-PBE geometry in Alexandria.

Crystal structure
Unit cell a=5.370 b=6.753 c=8.562 alpha=103.37 beta=90.07 gamma=113.41
Positions (direct):
Pm (0.116, 0.231, 0.157)
Pm (0.331, 0.662, 0.535)
Pm (0.669, 0.338, 0.465)
Pm (0.884, 0.769, 0.843)
Er (0.000, 0.000, 0.500)
Er (0.421, 0.840, 0.146)
Er (0.579, 0.160, 0.854)
In (0.206, 0.413, 0.817)
In (0.794, 0.587, 0.183)

Principal peaks in the range 2θ = 10–90°, by intensity:
2θ/deg, I_rel
31.6, 100.0
31.9, 93.1
33.4, 46.7
32.4, 43.1
47.2, 30.2
43.8, 17.3
56.2, 16.8
58.7, 16.3
57.2, 14.3
57.7, 11.7

=====

No. 2
Pm3Sm6Er2In: theoretical powder X-ray diffraction pattern (copper Kα), based on the GGA-PBE geometry in Alexandria.

Crystal structure
Unit cell a=6.221 b=6.221 c=11.770 alpha=95.13 beta=95.13 gamma=120.16
Positions (direct):
Pm (0.000, 0.000, 0.000)
Pm (0.332, 0.668, 0.000)
Pm (0.668, 0.332, 0.000)
Sm (0.093, 0.420, 0.257)
Sm (0.253, 0.253, 0.745)
Sm (0.420, 0.093, 0.257)
Sm (0.580, 0.907, 0.743)
Sm (0.747, 0.747, 0.255)
Sm (0.907, 0.580, 0.743)
Er (0.166, 0.834, 0.500)
Er (0.834, 0.166, 0.500)
In (0.500, 0.500, 0.500)

Principal peaks in the range 2θ = 10–90°, by intensity:
2θ/deg, I_rel
30.5, 100.0
35.5, 44.7
30.9, 32.0
60.7, 23.4
51.3, 22.9
35.6, 22.0
50.9, 16.0
63.6, 12.2
60.4, 9.5
60.9, 9.2